[1]
Calculated XRD peak list of US2 for Cu Kα (λ = 1.5418 Å), from a structure optimized by DFT (GGA-PBE).

Most intense lines, 10 to 90 degrees two-theta, by intensity:
Position (°2θ), I_rel
25.40, 100
39.09, 53
26.61, 35
49.53, 28
38.49, 24
50.63, 23
37.99, 18
35.97, 14

```
US2
1.0
-5.2966 5.2966 2.6065
5.2966 -5.2966 2.6065
5.2966 5.2966 -2.6065
U S
5 10
direct
0.0000 0.0000 0.0000
0.0883 0.5883 0.1765
0.4117 0.9117 0.8235
0.5883 0.4117 0.5000
0.9117 0.0883 0.5000
0.0000 0.5000 0.5000
0.0282 0.3287 0.8623
0.1659 0.0282 0.6995
0.3287 0.4664 0.3005
0.4664 0.1659 0.1377
0.5000 0.0000 0.5000
0.5336 0.6713 0.6995
0.6713 0.9718 0.1377
0.8341 0.5336 0.8623
0.9718 0.8341 0.3005
```


[2]
Calculated XRD peak list of Li4HN for Cu Kα (λ = 1.5418 Å), from a structure optimized by DFT (GGA-PBE).

Most intense lines, 10 to 90 degrees two-theta, by intensity:
Position (°2θ), I_rel
20.36, 100
31.68, 55
52.71, 31
42.62, 22
53.37, 18
45.04, 17
50.24, 17
63.42, 16

```
Li4HN
1.0
-2.4278 2.4278 4.9694
2.4278 -2.4278 4.9694
2.4278 2.4278 -4.9694
Li H N
8 2 2
direct
0.0263 0.1751 0.2676
0.2587 0.5263 0.3512
0.3249 0.0925 0.8512
0.4075 0.7587 0.2324
0.5925 0.2413 0.7676
0.6751 0.9075 0.1488
0.7413 0.4737 0.6488
0.9737 0.8249 0.7324
0.1250 0.3750 0.7500
0.8750 0.6250 0.2500
0.3750 0.1250 0.2500
0.6250 0.8750 0.7500
```